(1)
The following is a theoretical powder diffractogram of CuPd2Au6. It was derived from DFT lattice parameters and positions (GGA-PBE), using Cu Kα.

Most intense lines, 2θ from 15° to 90°, in order of rising 2θ:
2θ = 15.1°, I = 16; 2θ = 36.5°, I = 65; 2θ = 37.8°, I = 61; 2θ = 38.1°, I = 59; 2θ = 40.6°, I = 100; 2θ = 46.2°, I = 33; 2θ = 46.5°, I = 35; 2θ = 60.3°, I = 16; 2θ = 60.5°, I = 14; 2θ = 68.6°, I = 20; 2θ = 69.7°, I = 20; 2θ = 78.6°, I = 14

Crystal structure
```
18
Lattice="5.1576 -4.9171 0.0000 5.1576 4.9171 0.0000 -4.2380 0.0000 6.0884" Properties=species:S:1:pos:R:3 pbc="T T T"
Cu 1.9791 3.5572 4.5663
Cu 4.0981 -3.5572 1.5221
Pd 0.9355 1.2504 3.5485
Pd 3.0545 -1.2504 0.5043
Pd 3.0228 1.2504 5.5841
Pd 5.1418 -1.2504 2.5399
Au 2.7273 3.8094 1.9387
Au 1.6970 1.3004 0.8875
Au 5.4690 3.8094 1.1055
Au 4.4815 1.2123 0.1522
Au -0.4220 -1.3004 3.9317
Au 3.7148 1.2123 2.8920
Au 2.3625 -1.2123 3.1964
Au 6.4993 1.3004 2.1567
Au 1.5958 -1.2123 5.9362
Au 0.6083 -3.8094 4.9829
Au 4.3803 -1.3004 5.2009
Au 3.3500 -3.8094 4.1497
```



(2)
The following is a theoretical powder diffractogram of Cu4Pd6Au. It was derived from DFT lattice parameters and positions (GGA-PBE), using Cu Kα.

Most intense lines, 2θ from 15° to 90°, in order of rising 2θ:
2θ = 18.2°, I = 67; 2θ = 31.1°, I = 63; 2θ = 33.5°, I = 99; 2θ = 34.2°, I = 86; 2θ = 41.0°, I = 65; 2θ = 42.8°, I = 37; 2θ = 44.7°, I = 47; 2θ = 45.2°, I = 49; 2θ = 47.5°, I = 100; 2θ = 49.1°, I = 23; 2θ = 50.0°, I = 34; 2θ = 70.4°, I = 28

Crystal structure
```
11
Lattice="-3.1109 3.1109 4.8639 3.1109 -3.1109 4.8639 3.1109 3.1109 -4.8639" Properties=species:S:1:pos:R:3 pbc="T T T"
Cu 1.5602 1.5602 -1.3976
Cu 1.5507 -1.5507 6.2615
Cu 1.5507 1.5507 3.4663
Cu -1.5507 1.5507 6.2615
Pd 3.1109 0.0000 0.0000
Pd 2.1635 -2.1635 3.7009
Pd 0.9474 0.9474 1.1630
Pd 0.0000 3.1109 0.0000
Pd -2.1635 2.1635 3.7009
Pd 2.1635 2.1635 6.0269
Au 0.0000 0.0000 4.8639
```



(3)
The following is a theoretical powder diffractogram of Cu3Pd6Au2. It was derived from DFT lattice parameters and positions (GGA-PBE), using Cu Kα.

Most intense lines, 2θ from 15° to 90°, in order of rising 2θ:
2θ = 29.2°, I = 51; 2θ = 38.6°, I = 66; 2θ = 39.2°, I = 34; 2θ = 39.4°, I = 100; 2θ = 41.7°, I = 100; 2θ = 41.9°, I = 30; 2θ = 42.3°, I = 62; 2θ = 42.5°, I = 52; 2θ = 42.8°, I = 66; 2θ = 43.5°, I = 42; 2θ = 44.1°, I = 43; 2θ = 45.5°, I = 31

Crystal structure
```
11
Lattice="4.6249 0.0000 0.0000 2.1607 6.2398 0.0000 1.6611 2.4156 6.0023" Properties=species:S:1:pos:R:3 pbc="T T T"
Cu 0.0000 0.0000 0.0000
Cu 2.2953 5.3546 2.3788
Cu 6.1514 3.3008 3.6235
Pd 1.4821 1.3802 1.7547
Pd 2.2227 3.7071 0.3129
Pd 3.9001 3.5092 5.1193
Pd 4.5466 5.1462 0.8830
Pd 6.2240 4.9483 5.6894
Pd 6.9646 7.2752 4.2476
Au 4.6348 5.7891 3.5986
Au 3.8119 2.8663 2.4037
```